Entry 1:
Computed X-ray diffraction stick pattern of Cs4Sn21Hg2 for CuKα, from a cell relaxed with GGA-PBE.

Peak list (10 most intense, 2θ from 5° to 70°, low angle first)
d_spacing, 2theta, I (rel.)
5.605, 15.81, 165
3.618, 24.60, 339
3.476, 25.62, 222
3.350, 26.61, 1000
3.134, 28.48, 122
3.040, 29.38, 177
2.150, 42.03, 542
2.119, 42.68, 166
2.089, 43.31, 255
2.033, 44.56, 518

Crystal structure
abc: 12.5345 12.5341 12.5341
angles: 89.97 90.00 90.00
Positions (direct):
Cs 0.0000 0.0000 0.0000
Cs 0.2500 0.2518 0.5015
Cs 0.2500 0.5009 0.0005
Cs 0.2500 0.7497 0.5015
Cs 0.5000 0.0000 0.0000
Cs 0.7500 0.0005 0.5009
Cs 0.7500 0.5015 0.2518
Cs 0.7500 0.5015 0.7497
Sn 0.0576 0.0006 0.3838
Sn 0.0632 0.0008 0.6209
Sn 0.0665 0.3174 0.1851
Sn 0.0663 0.6833 0.1842
Sn 0.0674 0.3172 0.8172
Sn 0.0674 0.6833 0.8183
Sn 0.1320 0.5007 0.3127
Sn 0.1317 0.5008 0.6888
Sn 0.2500 0.0011 0.2508
Sn 0.2500 0.1872 0.8813
Sn 0.2500 0.1927 0.1170
Sn 0.2500 0.8086 0.1175
Sn 0.2500 0.8140 0.8809
Sn 0.3680 0.5007 0.3127
Sn 0.3683 0.5008 0.6888
Sn 0.4326 0.3172 0.8172
Sn 0.4326 0.6833 0.8183
Sn 0.4335 0.3174 0.1851
Sn 0.4337 0.6833 0.1842
Sn 0.4368 0.0008 0.6209
Sn 0.4424 0.0006 0.3838
Sn 0.5576 0.3838 0.0006
Sn 0.5632 0.6209 0.0008
Sn 0.5663 0.1842 0.6833
Sn 0.5665 0.1851 0.3174
Sn 0.5674 0.8172 0.3172
Sn 0.5674 0.8183 0.6833
Sn 0.6320 0.3127 0.5007
Sn 0.6317 0.6888 0.5008
Sn 0.7500 0.1170 0.1927
Sn 0.7500 0.1175 0.8086
Sn 0.7500 0.2508 0.0011
Sn 0.7500 0.8813 0.1872
Sn 0.7500 0.8809 0.8140
Sn 0.8680 0.3127 0.5007
Sn 0.8683 0.6888 0.5008
Sn 0.9326 0.8172 0.3172
Sn 0.9326 0.8183 0.6833
Sn 0.9337 0.1842 0.6833
Sn 0.9335 0.1851 0.3174
Sn 0.9368 0.6209 0.0008
Sn 0.9424 0.3838 0.0006
Hg 0.0000 0.5007 0.5007
Hg 0.2500 0.0008 0.7508
Hg 0.5000 0.5007 0.5007
Hg 0.7500 0.7508 0.0008

Entry 2:
Computed X-ray diffraction stick pattern of MgV2S4N6Cl4 for CuKα, from a cell relaxed with GGA-PBE.

Peak list (10 most intense, 2θ from 5° to 70°, low angle first)
d_spacing, 2theta, I (rel.)
8.222, 10.76, 523
6.953, 12.73, 699
4.991, 17.77, 975
4.656, 19.06, 690
3.608, 24.68, 558
3.126, 28.56, 421
3.026, 29.52, 666
2.728, 32.84, 489
2.699, 33.19, 1000
2.663, 33.66, 888

Crystal structure
abc: 5.8299 7.5424 8.3918
angles: 93.87 98.65 111.54
Positions (direct):
Mg 0.0000 0.0000 0.0000
V 0.0928 0.5050 0.4009
V 0.6075 0.5241 0.6400
S 0.0894 0.2279 0.7002
S 0.1625 0.7276 0.1016
S 0.5522 0.2792 0.9296
S 0.6087 0.8000 0.3390
N 0.0155 0.6015 0.2259
N 0.2429 0.1781 0.8596
N 0.2586 0.3887 0.6120
N 0.4456 0.6427 0.4332
N 0.4620 0.8437 0.1807
N 0.6839 0.4200 0.8128
Cl 0.0301 0.7286 0.5952
Cl 0.0797 0.2044 0.2394
Cl 0.6283 0.8125 0.8181
Cl 0.6749 0.3011 0.4477

Entry 3:
Computed X-ray diffraction stick pattern of Ti5CoSn3 for CuKα, from a cell relaxed with GGA-PBE.

Peak list (10 most intense, 2θ from 5° to 70°, low angle first)
d_spacing, 2theta, I (rel.)
3.566, 24.97, 241
3.283, 27.16, 524
2.718, 32.95, 225
2.415, 37.23, 1000
2.378, 37.84, 656
2.269, 39.73, 871
1.859, 49.00, 433
1.641, 56.03, 138
1.504, 61.67, 222
1.427, 65.42, 146

Crystal structure
abc: 8.2362 8.2362 5.4370
angles: 90.00 90.00 120.00
Positions (direct):
Ti 0.0000 0.2471 0.2500
Ti 0.0000 0.7529 0.7500
Ti 0.2471 0.0000 0.2500
Ti 0.2471 0.2471 0.7500
Ti 0.3333 0.6667 0.0000
Ti 0.3333 0.6667 0.5000
Ti 0.6667 0.3333 0.0000
Ti 0.6667 0.3333 0.5000
Ti 0.7529 0.0000 0.7500
Ti 0.7529 0.7529 0.2500
Co 0.0000 0.0000 0.0000
Co 0.0000 0.0000 0.5000
Sn 0.0000 0.3951 0.7500
Sn 0.0000 0.6049 0.2500
Sn 0.3951 0.0000 0.7500
Sn 0.3951 0.3951 0.2500
Sn 0.6049 0.0000 0.2500
Sn 0.6049 0.6049 0.7500

Entry 4:
Computed X-ray diffraction stick pattern of Pr3Co4Sn13 for CuKα, from a cell relaxed with GGA-PBE.

Peak list (10 most intense, 2θ from 5° to 70°, low angle first)
d_spacing, 2theta, I (rel.)
2.681, 33.43, 1000
2.583, 34.73, 358
2.416, 37.21, 183
2.344, 38.40, 124
1.973, 46.00, 123
1.658, 55.43, 138
1.568, 58.90, 175
1.510, 61.42, 75
1.457, 63.88, 87
1.381, 67.88, 110

Crystal structure
abc: 9.6656 9.6656 9.6656
angles: 90.00 90.00 90.00
Positions (direct):
Pr 0.0000 0.2500 0.5000
Pr 0.0000 0.7500 0.5000
Pr 0.2500 0.5000 0.0000
Pr 0.5000 0.0000 0.2500
Pr 0.5000 0.0000 0.7500
Pr 0.7500 0.5000 0.0000
Co 0.2500 0.2500 0.2500
Co 0.2500 0.2500 0.7500
Co 0.2500 0.7500 0.2500
Co 0.2500 0.7500 0.7500
Co 0.7500 0.2500 0.2500
Co 0.7500 0.2500 0.7500
Co 0.7500 0.7500 0.2500
Co 0.7500 0.7500 0.7500
Sn 0.0000 0.0000 0.0000
Sn 0.0000 0.3016 0.1573
Sn 0.0000 0.3016 0.8427
Sn 0.0000 0.6984 0.1573
Sn 0.0000 0.6984 0.8427
Sn 0.1573 0.0000 0.3016
Sn 0.1573 0.0000 0.6984
Sn 0.1984 0.5000 0.3427
Sn 0.1984 0.5000 0.6573
Sn 0.3016 0.1573 0.0000
Sn 0.3016 0.8427 0.0000
Sn 0.3427 0.1984 0.5000
Sn 0.3427 0.8016 0.5000
Sn 0.5000 0.3427 0.1984
Sn 0.5000 0.3427 0.8016
Sn 0.5000 0.5000 0.5000
Sn 0.5000 0.6573 0.1984
Sn 0.5000 0.6573 0.8016
Sn 0.6573 0.1984 0.5000
Sn 0.6573 0.8016 0.5000
Sn 0.6984 0.1573 0.0000
Sn 0.6984 0.8427 0.0000
Sn 0.8016 0.5000 0.3427
Sn 0.8016 0.5000 0.6573
Sn 0.8427 0.0000 0.3016
Sn 0.8427 0.0000 0.6984

Entry 5:
Computed X-ray diffraction stick pattern of Ba2CaIrO6 for CuKα, from a cell relaxed with GGA-PBE.

Peak list (10 most intense, 2θ from 5° to 70°, low angle first)
d_spacing, 2theta, I (rel.)
4.888, 18.15, 255
2.993, 29.85, 1000
2.553, 35.15, 124
2.444, 36.77, 29
2.117, 42.72, 300
1.942, 46.77, 47
1.728, 52.98, 401
1.629, 56.47, 54
1.497, 62.00, 186
1.431, 65.19, 52

Crystal structure
abc: 5.9870 5.9870 5.9870
angles: 60.00 60.00 60.00
Positions (direct):
Ba 0.2500 0.2500 0.2500
Ba 0.7500 0.7500 0.7500
Ca 0.0000 0.0000 0.0000
Ir 0.5000 0.5000 0.5000
O 0.2692 0.2692 0.7308
O 0.2692 0.7308 0.2692
O 0.2692 0.7308 0.7308
O 0.7308 0.2692 0.2692
O 0.7308 0.2692 0.7308
O 0.7308 0.7308 0.2692

Entry 6:
Computed X-ray diffraction stick pattern of NaTbGeO4 for CuKα, from a cell relaxed with GGA-PBE.

Peak list (10 most intense, 2θ from 5° to 70°, low angle first)
d_spacing, 2theta, I (rel.)
5.784, 15.32, 362
4.850, 18.29, 257
3.896, 22.83, 789
3.270, 27.27, 434
3.127, 28.55, 264
2.821, 31.72, 1000
2.711, 33.04, 294
2.069, 43.76, 193
1.948, 46.63, 272
1.788, 51.07, 268

Crystal structure
abc: 11.5678 6.5404 5.3425
angles: 90.00 90.00 90.00
Positions (direct):
Na 0.0000 0.0000 0.0000
Na 0.0000 0.5000 0.0000
Na 0.5000 0.0000 0.5000
Na 0.5000 0.5000 0.5000
Tb 0.2222 0.2500 0.4959
Tb 0.2778 0.7500 0.9959
Tb 0.7222 0.2500 0.0041
Tb 0.7778 0.7500 0.5041
Ge 0.0972 0.7500 0.5551
Ge 0.4028 0.2500 0.0551
Ge 0.5972 0.7500 0.9449
Ge 0.9028 0.2500 0.4449
O 0.0449 0.2500 0.3252
O 0.1107 0.7500 0.2294
O 0.1737 0.5431 0.7078
O 0.1737 0.9569 0.7078
O 0.3263 0.0431 0.2078
O 0.3263 0.4569 0.2078
O 0.3893 0.2500 0.7294
O 0.4551 0.7500 0.8252
O 0.5449 0.2500 0.1748
O 0.6107 0.7500 0.2706
O 0.6737 0.5431 0.7922
O 0.6737 0.9569 0.7922
O 0.8263 0.0431 0.2922
O 0.8263 0.4569 0.2922
O 0.8893 0.2500 0.7706
O 0.9551 0.7500 0.6748

Entry 7:
Computed X-ray diffraction stick pattern of LaMg14C for CuKα, from a cell relaxed with GGA-PBE.

Peak list (10 most intense, 2θ from 5° to 70°, low angle first)
d_spacing, 2theta, I (rel.)
10.392, 8.51, 857
5.339, 16.60, 395
4.749, 18.68, 417
3.139, 28.44, 334
2.906, 30.77, 445
2.781, 32.19, 378
2.670, 33.57, 636
2.597, 34.53, 499
2.570, 34.91, 871
2.375, 37.89, 1000

Crystal structure
abc: 10.3924 6.6278 6.6278
angles: 53.66 90.00 90.00
Positions (direct):
La 0.0000 0.0000 0.0000
Mg 0.0000 0.0337 0.4955
Mg 0.0000 0.4955 0.0337
Mg 0.1536 0.5850 0.5850
Mg 0.2578 0.1262 0.6298
Mg 0.2578 0.6298 0.1262
Mg 0.2618 0.1383 0.1383
Mg 0.5000 0.4785 0.9719
Mg 0.5000 0.4828 0.4828
Mg 0.5000 0.9719 0.4785
Mg 0.5000 0.9740 0.9740
Mg 0.7382 0.1383 0.1383
Mg 0.7422 0.1262 0.6298
Mg 0.7422 0.6298 0.1262
Mg 0.8464 0.5850 0.5850
C 0.0000 0.4263 0.4263